TiTl2Ge3O9: theoretical powder diffractogram (CuKα), based on a DFT-relaxed cell (GGA-PBE, Alexandria).
Kinematic intensities with the Lorentz-polarization factor, no thermal factor.

Atomic structure:
Cell: 7.0992 7.0992 10.4858 Å, 90.00 90.00 120.00°
Space group P6_3/m (No. 176)
Inequivalent atoms, fractional coordinates:
Ti 0.0000 0.0000 0.0000
Tl 0.3333 0.6667 0.0575
Ge 0.1254 0.3675 0.7500
O 0.0081 0.2329 0.6075
O 0.0641 0.5863 0.7500

Largest 8 diffraction maxima, by intensity, 2θ from 5° to 70°:
2θ/deg  I (rel.)  h k l
30.41  100.0  1 1 2
29.39  88.7  1 0 3
25.09  46.8  1 1 0
30.30  44.4  2 0 1
46.95  28.6  1 2 3
52.85  28.0  2 0 5
60.40  26.6  3 1 3
47.64  20.1  3 0 2

=====

Tl5Ge2O6: theoretical powder diffractogram (CuKα), based on a DFT-relaxed cell (GGA-PBE, Alexandria).
Kinematic intensities with the Lorentz-polarization factor, no thermal factor.

Atomic structure:
Cell: 12.7962 7.0004 13.7730 Å, 90.00 103.43 90.00°
Space group C2/c (No. 15)
Inequivalent atoms, fractional coordinates:
Tl 0.0000 0.0336 0.2500
Tl 0.0510 0.2291 0.0188
Tl 0.1538 0.4112 0.7890
Ge 0.2306 0.3179 0.5849
O 0.1143 0.4407 0.5939
O 0.1865 0.2276 0.2963
O 0.2022 0.0933 0.5109

Largest 8 diffraction maxima, by intensity, 2θ from 5° to 70°:
2θ/deg  I (rel.)  h k l
27.13  100.0  2 0 -4
28.76  61.6  0 2 2
24.95  40.9  3 1 0
26.32  30.3  0 2 1
26.62  28.1  0 0 4
30.65  21.4  3 1 2
30.79  21.3  2 2 -2
47.64  20.4  2 2 -6

=====

Tl8Ge5O14: theoretical powder diffractogram (CuKα), based on a DFT-relaxed cell (GGA-PBE, Alexandria).
Kinematic intensities with the Lorentz-polarization factor, no thermal factor.

Atomic structure:
Cell: 9.7322 9.7322 41.5064 Å, 90.00 90.00 120.00°
Space group R-3c (No. 167, hexagonal axes)
Inequivalent atoms, fractional coordinates:
Tl 0.0000 0.0000 0.0554
Tl 0.0460 0.2540 0.1328
Ge 0.0000 0.0000 0.2036
Ge 0.0000 0.2696 0.2500
O 0.0000 0.0000 0.1616
O 0.0438 0.2164 0.9033
O 0.0732 0.1981 0.2178

Largest 8 diffraction maxima, by intensity, 2θ from 5° to 70°:
2θ/deg  I (rel.)  h k l
26.63  100.0  1 1 9
27.26  93.2  2 0 8
28.09  87.9  2 1 1
33.00  68.9  1 2 8
49.57  53.9  4 1 0
29.33  42.7  2 1 4
28.34  39.4  1 2 2
40.00  37.7  2 1 13

=====

TmGe2O6: theoretical powder diffractogram (CuKα), based on a DFT-relaxed cell (GGA-PBE, Alexandria).
Kinematic intensities with the Lorentz-polarization factor, no thermal factor.

Atomic structure:
Cell: 10.7572 9.6933 5.7424 Å, 90.00 107.93 90.00°
Space group C2/c (No. 15)
Inequivalent atoms, fractional coordinates:
Tm 0.0000 0.1077 0.2500
Ge 0.2116 0.4298 0.2824
O 0.1181 0.0459 0.6241
O 0.1387 0.4726 0.9698
O 0.1688 0.2541 0.3034

Largest 8 diffraction maxima, by intensity, 2θ from 5° to 70°:
2θ/deg  I (rel.)  h k l
18.32  100.0  0 2 0
27.08  81.5  2 2 -1
12.58  61.5  1 1 0
27.72  54.0  3 1 0
33.07  39.7  2 2 1
32.78  29.1  0 0 2
32.00  21.5  1 3 -1
37.77  20.1  1 1 2